This entry pairs a crystal structure of HfVGaO6 with its computed powder XRD pattern. Radiation: Cu Kα (weighted mean of Kα1 and Kα2). Structure: a DFT-relaxed cell (GGA+U, Alexandria).
No peak broadening, texture or thermal motion is included.

```
HfVGaO6
1.0
4.690 0.000 0.000
0.000 4.690 0.000
0.000 0.000 9.071
Hf V Ga O
2 2 2 12
direct
0.000 0.000 0.000 Hf
0.500 0.500 0.500 Hf
0.000 0.000 0.667 V
0.500 0.500 0.167 V
0.000 0.000 0.331 Ga
0.500 0.500 0.831 Ga
0.186 0.186 0.501 O
0.193 0.193 0.814 O
0.208 0.208 0.167 O
0.292 0.708 0.667 O
0.307 0.693 0.314 O
0.314 0.686 0.001 O
0.686 0.314 0.001 O
0.693 0.307 0.314 O
0.708 0.292 0.667 O
0.792 0.792 0.167 O
0.807 0.807 0.814 O
0.814 0.814 0.501 O
```

Principal peaks in the range 10° ≤ 2θ ≤ 90°, most intense first:
(hkl), Position (°2θ), intensity
1 1 0, 26.88, 100
1 0 3, 35.32, 71
2 1 3, 53.14, 63
1 0 1, 21.33, 43
2 0 0, 38.38, 20
3 0 3, 67.44, 19